The following is a simulated powder XRD pattern of Nd4Zn3Sn. It was derived from the PBE geometry in Alexandria, using Cu Kα.
Peak positions follow from Bragg's law for the DFT cell and can differ from measured ones.

The 6 most intense peaks (10° ≤ 2θ ≤ 90°), in order of rising 2θ:
33.69°, 2.660 Å, rel. 100, (0 1 8); 34.02°, 2.635 Å, rel. 100, (1 1 0); 48.64°, 1.872 Å, rel. 35, (2 0 8); 60.04°, 1.541 Å, rel. 17, (1 0 16); 60.68°, 1.526 Å, rel. 36, (1 2 8); 60.89°, 1.521 Å, rel. 18, (3 0 0)

Structure:
```
data_Nd4Zn3Sn
_chemical_formula_sum 'Nd12 Zn9 Sn3'
_cell_length_a 5.2700
_cell_length_b 5.2700
_cell_length_c 26.1912
_cell_angle_alpha 90.00
_cell_angle_beta 90.00
_cell_angle_gamma 120.00
_symmetry_space_group_name_H-M 'R -3 m'
_symmetry_Int_Tables_number 166
_symmetry_space_group_name_Hall '-R 3 2"'
loop_
_atom_site_label
_atom_site_type_symbol
_atom_site_fract_x
_atom_site_fract_y
_atom_site_fract_z
Nd1 Nd 0.0000 0.0000 0.1214
Nd2 Nd 0.0000 0.0000 0.3710
Zn1 Zn 0.0000 0.0000 0.0000
Zn2 Zn 0.0000 0.0000 0.2529
Sn1 Sn 0.0000 0.0000 0.5000
```



The following is a simulated powder XRD pattern of ScSi3Ir5. It was derived from the PBE geometry in Alexandria, using Cu Kα.
Peak positions follow from Bragg's law for the DFT cell and can differ from measured ones.

The 6 most intense peaks (10° ≤ 2θ ≤ 90°), in order of rising 2θ:
14.26°, 6.209 Å, rel. 91, (0 0 2); 15.85°, 5.590 Å, rel. 93, (0 2 1); 32.57°, 2.749 Å, rel. 77, (1 3 1); 32.68°, 2.741 Å, rel. 74, (1 1 3); 38.02°, 2.367 Å, rel. 100, (1 1 4); 44.05°, 2.056 Å, rel. 77, (0 6 1)

Structure:
```
data_ScSi3Ir5
_chemical_formula_sum 'Sc4 Si12 Ir20'
_cell_length_a 3.823
_cell_length_b 12.519
_cell_length_c 12.419
_cell_angle_alpha 90.00
_cell_angle_beta 90.00
_cell_angle_gamma 90.00
_symmetry_space_group_name_H-M 'C m c m'
_symmetry_Int_Tables_number 63
_symmetry_space_group_name_Hall '-C 2c 2'
loop_
_atom_site_label
_atom_site_type_symbol
_atom_site_fract_x
_atom_site_fract_y
_atom_site_fract_z
Sc1 Sc 0.000 0.108 0.250
Si1 Si 0.000 0.134 0.750
Si2 Si 0.000 0.383 0.540
Ir1 Ir 0.000 0.000 0.000
Ir2 Ir 0.000 0.203 0.573
Ir3 Ir 0.000 0.453 0.148
```



The following is a simulated powder XRD pattern of ScU2Ga9. It was derived from the PBE geometry in Alexandria, using Cu Kα.
Peak positions follow from Bragg's law for the DFT cell and can differ from measured ones.

The 6 most intense peaks (10° ≤ 2θ ≤ 90°), in order of rising 2θ:
21.07°, 4.217 Å, rel. 17, (0 0 3); 29.97°, 2.982 Å, rel. 15, (1 1 0); 36.92°, 2.435 Å, rel. 100, (1 1 3); 42.89°, 2.108 Å, rel. 49, (2 0 0); 62.27°, 1.491 Å, rel. 32, (2 2 0); 74.65°, 1.271 Å, rel. 37, (3 1 3)

Structure:
```
data_ScU2Ga9
_chemical_formula_sum 'Sc1 U2 Ga9'
_cell_length_a 4.218
_cell_length_b 4.218
_cell_length_c 12.646
_cell_angle_alpha 90.00
_cell_angle_beta 90.00
_cell_angle_gamma 90.00
_symmetry_space_group_name_H-M 'P 4/m m m'
_symmetry_Int_Tables_number 123
_symmetry_space_group_name_Hall '-P 4 2'
loop_
_atom_site_label
_atom_site_type_symbol
_atom_site_fract_x
_atom_site_fract_y
_atom_site_fract_z
Sc1 Sc 0.000 0.000 0.000
U1 U 0.000 0.000 0.329
Ga1 Ga 0.000 0.500 0.160
Ga2 Ga 0.000 0.500 0.500
Ga3 Ga 0.500 0.500 0.000
Ga4 Ga 0.500 0.500 0.333
```



The following is a simulated powder XRD pattern of Cs2Hg2P. It was derived from the PBE geometry in Alexandria, using Cu Kα.
Peak positions follow from Bragg's law for the DFT cell and can differ from measured ones.

The 6 most intense peaks (10° ≤ 2θ ≤ 90°), in order of rising 2θ:
24.81°, 3.588 Å, rel. 51, (0 0 6); 29.76°, 3.003 Å, rel. 100, (1 1 2); 33.14°, 2.704 Å, rel. 73, (1 1 4); 40.82°, 2.211 Å, rel. 35, (2 0 0); 48.36°, 1.882 Å, rel. 35, (2 0 6); 51.54°, 1.773 Å, rel. 30, (1 1 10)

Structure:
```
data_Cs2Hg2P
_chemical_formula_sum 'Cs4 Hg4 P2'
_cell_length_a 4.422
_cell_length_b 4.422
_cell_length_c 21.530
_cell_angle_alpha 90.00
_cell_angle_beta 90.00
_cell_angle_gamma 90.00
_symmetry_space_group_name_H-M 'I 4/m m m'
_symmetry_Int_Tables_number 139
_symmetry_space_group_name_Hall '-I 4 2'
loop_
_atom_site_label
_atom_site_type_symbol
_atom_site_fract_x
_atom_site_fract_y
_atom_site_fract_z
Cs1 Cs 0.000 0.000 0.090
Hg1 Hg 0.000 0.500 0.250
P1 P 0.000 0.000 0.500
```



The following is a simulated powder XRD pattern of Ca2Ac4Pr. It was derived from the PBE geometry in Alexandria, using Cu Kα.
Peak positions follow from Bragg's law for the DFT cell and can differ from measured ones.

The 6 most intense peaks (10° ≤ 2θ ≤ 90°), in order of rising 2θ:
26.20°, 3.402 Å, rel. 45, (2 0 0); 26.91°, 3.313 Å, rel. 100, (1 3 1); 27.50°, 3.243 Å, rel. 40, (0 0 2); 28.94°, 3.085 Å, rel. 30, (0 4 1); 38.35°, 2.347 Å, rel. 33, (2 0 2); 39.43°, 2.285 Å, rel. 27, (2 4 1)

Structure:
```
data_Ca2Ac4Pr
_chemical_formula_sum 'Ca4 Ac8 Pr2'
_cell_length_a 6.803
_cell_length_b 14.029
_cell_length_c 6.487
_cell_angle_alpha 90.00
_cell_angle_beta 90.00
_cell_angle_gamma 90.00
_symmetry_space_group_name_H-M 'C m m m'
_symmetry_Int_Tables_number 65
_symmetry_space_group_name_Hall '-C 2 2'
loop_
_atom_site_label
_atom_site_type_symbol
_atom_site_fract_x
_atom_site_fract_y
_atom_site_fract_z
Ca1 Ca 0.000 0.108 0.000
Ac1 Ac 0.000 0.197 0.500
Ac2 Ac 0.000 0.361 0.000
Pr1 Pr 0.000 0.500 0.500
```



The following is a simulated powder XRD pattern of Sr2Cu6P3. It was derived from the PBE geometry in Alexandria, using Cu Kα.
Peak positions follow from Bragg's law for the DFT cell and can differ from measured ones.

The 6 most intense peaks (10° ≤ 2θ ≤ 90°), in order of rising 2θ:
13.84°, 6.398 Å, rel. 23, (1 0 0); 27.89°, 3.199 Å, rel. 23, (2 0 0); 32.79°, 2.731 Å, rel. 100, (1 1 1); 37.18°, 2.418 Å, rel. 36, (2 1 0); 43.57°, 2.077 Å, rel. 79, (2 1 1); 44.68°, 2.028 Å, rel. 29, (0 0 2)

Structure:
```
data_Sr2Cu6P3
_chemical_formula_sum 'Sr2 Cu6 P3'
_cell_length_a 7.3881
_cell_length_b 7.3881
_cell_length_c 4.0568
_cell_angle_alpha 90.00
_cell_angle_beta 90.00
_cell_angle_gamma 120.00
_symmetry_space_group_name_H-M 'P -6 2 m'
_symmetry_Int_Tables_number 189
_symmetry_space_group_name_Hall 'P -6 -2'
loop_
_atom_site_label
_atom_site_type_symbol
_atom_site_fract_x
_atom_site_fract_y
_atom_site_fract_z
Sr1 Sr 0.3333 0.6667 0.0000
Cu1 Cu 0.0000 0.1963 0.0000
Cu2 Cu 0.0000 0.7393 0.5000
P1 P 0.0000 0.3516 0.5000
```



The following is a simulated powder XRD pattern of Sr4ErPa3As8. It was derived from the PBE geometry in Alexandria, using Cu Kα.
Peak positions follow from Bragg's law for the DFT cell and can differ from measured ones.

The 6 most intense peaks (10° ≤ 2θ ≤ 90°), in order of rising 2θ:
12.43°, 7.121 Å, rel. 28, (0 0 3); 29.50°, 3.028 Å, rel. 100, (0 2 4); 41.81°, 2.161 Å, rel. 36, (2 0 8); 42.59°, 2.123 Å, rel. 38, (2 2 0); 52.66°, 1.738 Å, rel. 20, (4 0 4); 69.96°, 1.345 Å, rel. 17, (2 4 4)

Structure:
```
data_Sr4ErPa3As8
_chemical_formula_sum 'Sr12 Er3 Pa9 As24'
_cell_length_a 8.4901
_cell_length_b 8.4901
_cell_length_c 21.3644
_cell_angle_alpha 90.00
_cell_angle_beta 90.00
_cell_angle_gamma 120.00
_symmetry_space_group_name_H-M 'R -3 m'
_symmetry_Int_Tables_number 166
_symmetry_space_group_name_Hall '-R 3 2"'
loop_
_atom_site_label
_atom_site_type_symbol
_atom_site_fract_x
_atom_site_fract_y
_atom_site_fract_z
Sr1 Sr 0.0000 0.0000 0.0000
Sr2 Sr 0.0000 0.5000 0.0000
Er1 Er 0.0000 0.0000 0.5000
Pa1 Pa 0.0000 0.5000 0.5000
As1 As 0.0000 0.0000 0.2395
As2 As 0.0046 0.5023 0.7607
```



The following is a simulated powder XRD pattern of Sm5Dy2In. It was derived from the PBE geometry in Alexandria, using Cu Kα.
Peak positions follow from Bragg's law for the DFT cell and can differ from measured ones.

The 6 most intense peaks (10° ≤ 2θ ≤ 90°), in order of rising 2θ:
30.91°, 2.893 Å, rel. 100, (2 2 0); 35.61°, 2.521 Å, rel. 34, (2 0 2); 36.30°, 2.475 Å, rel. 16, (0 4 0); 51.76°, 1.766 Å, rel. 24, (2 4 2); 61.05°, 1.518 Å, rel. 29, (4 2 2); 61.97°, 1.497 Å, rel. 14, (2 6 0)

Structure:
```
data_Sm5Dy2In
_chemical_formula_sum 'Sm10 Dy4 In2'
_cell_length_a 7.131
_cell_length_b 9.900
_cell_length_c 7.131
_cell_angle_alpha 90.00
_cell_angle_beta 90.00
_cell_angle_gamma 90.00
_symmetry_space_group_name_H-M 'I m m 2'
_symmetry_Int_Tables_number 44
loop_
_symmetry_equiv_pos_as_xyz
'x,y,z'
'-x,-y,z'
'-x,y,z'
'x,-y,z'
'x+1/2,y+1/2,z+1/2'
'-x+1/2,-y+1/2,z+1/2'
'-x+1/2,y+1/2,z+1/2'
'x+1/2,-y+1/2,z+1/2'
loop_
_atom_site_label
_atom_site_type_symbol
_atom_site_fract_x
_atom_site_fract_y
_atom_site_fract_z
Sm1 Sm 0.000 0.000 0.000
Sm2 Sm 0.250 0.250 0.250
Dy1 Dy 0.000 0.000 0.499
Dy2 Dy 0.000 0.500 0.501
In1 In 0.000 0.500 0.000
```



The following is a simulated powder XRD pattern of Pm3ErTh. It was derived from the PBE geometry in Alexandria, using Cu Kα.
Peak positions follow from Bragg's law for the DFT cell and can differ from measured ones.

The 6 most intense peaks (10° ≤ 2θ ≤ 90°), in order of rising 2θ:
28.76°, 3.104 Å, rel. 34, (1 3 0); 29.90°, 2.988 Å, rel. 40, (1 3 1); 30.28°, 2.951 Å, rel. 100, (1 1 -3); 32.69°, 2.739 Å, rel. 59, (2 0 0); 33.10°, 2.706 Å, rel. 30, (1 3 2); 37.90°, 2.374 Å, rel. 39, (1 3 -3)

Structure:
```
data_Pm3ErTh
_chemical_formula_sum 'Pm12 Er4 Th4'
_cell_length_a 5.480
_cell_length_b 11.300
_cell_length_c 11.053
_cell_angle_alpha 90.00
_cell_angle_beta 90.09
_cell_angle_gamma 90.00
_symmetry_space_group_name_H-M 'C 1 2/m 1'
_symmetry_Int_Tables_number 12
loop_
_symmetry_equiv_pos_as_xyz
'x,y,z'
'-x,-y,-z'
'-x,y,-z'
'x,-y,z'
'x+1/2,y+1/2,z'
'-x+1/2,-y+1/2,-z'
'-x+1/2,y+1/2,-z'
'x+1/2,-y+1/2,z'
loop_
_atom_site_label
_atom_site_type_symbol
_atom_site_fract_x
_atom_site_fract_y
_atom_site_fract_z
Pm1 Pm 0.000 0.000 0.169
Pm2 Pm 0.001 0.348 0.696
Er1 Er 0.000 0.343 0.000
Th1 Th 0.000 0.137 0.500
```



The following is a simulated powder XRD pattern of K3Nb. It was derived from the PBE geometry in Alexandria, using Cu Kα.
Peak positions follow from Bragg's law for the DFT cell and can differ from measured ones.

The 6 most intense peaks (10° ≤ 2θ ≤ 90°), in order of rising 2θ:
24.93°, 3.572 Å, rel. 24, (2 0 0); 27.22°, 3.276 Å, rel. 26, (0 0 2); 28.46°, 3.136 Å, rel. 100, (2 0 1); 43.90°, 2.062 Å, rel. 18, (2 2 0); 48.88°, 1.863 Å, rel. 20, (2 0 3); 52.43°, 1.745 Å, rel. 20, (2 2 2)

Structure:
```
data_K3Nb
_chemical_formula_sum 'K6 Nb2'
_cell_length_a 8.2491
_cell_length_b 8.2491
_cell_length_c 6.5524
_cell_angle_alpha 90.00
_cell_angle_beta 90.00
_cell_angle_gamma 120.00
_symmetry_space_group_name_H-M 'P 63/m m c'
_symmetry_Int_Tables_number 194
_symmetry_space_group_name_Hall '-P 6c 2c'
loop_
_atom_site_label
_atom_site_type_symbol
_atom_site_fract_x
_atom_site_fract_y
_atom_site_fract_z
K1 K 0.1777 0.3555 0.2500
Nb1 Nb 0.3333 0.6667 0.7500
```